Starting from a cell relaxed with PBE, the powder X-ray diffraction pattern of Ta6Be15Ni8 was calculated for CuKα.
Lines closer than 0.1° are merged.

Crystal structure
a = 10.6796 Å, b = 10.6796 Å, c = 10.6796 Å
α = 90.00°, β = 90.00°, γ = 90.00°
Space group Fm-3m (No. 225)
Inequivalent atoms, fractional coordinates:
Ta (0.0000, 0.0000, 0.2040) (multiplicity 24)
Be (0.0000, 0.0000, 0.5000) (multiplicity 4)
Be (0.0000, 0.2500, 0.2500) (multiplicity 24)
Be (0.1731, 0.1731, 0.1731) (multiplicity 32)
Ni (0.1227, 0.1227, 0.3773) (multiplicity 32)

Peak list (10 most intense, 10 to 90 degrees two-theta, most intense first)
(2 2 2), 3.083 Å, 28.96 deg, rel. 100
(5 1 1), 2.055 Å, 44.06 deg, rel. 98
(3 3 1), 2.450 Å, 36.68 deg, rel. 78
(4 4 0), 1.888 Å, 48.20 deg, rel. 73
(2 0 0), 5.340 Å, 16.60 deg, rel. 57
(4 2 2), 2.180 Å, 41.42 deg, rel. 34
(7 3 3), 1.305 Å, 72.44 deg, rel. 30
(8 2 2), 1.259 Å, 75.54 deg, rel. 24
(5 5 3), 1.390 Å, 67.35 deg, rel. 23
(5 5 1), 1.495 Å, 62.06 deg, rel. 22